No. 1
Structure and simulated powder diffraction line list of PmBiN2O (a DFT-relaxed cell (PBE, OQMD); Cu Kα X-rays).
Kinematic intensities with the Lorentz-polarization factor, no thermal factor.

Crystal structure
a = 8.410 Å, b = 8.211 Å, c = 11.783 Å
α = 90.00°, β = 133.51°, γ = 90.00°
Fractional coordinates of all 40 atoms:
Pm  0.051  0.245  0.030
Pm  0.051  0.255  0.530
Pm  0.441  0.731  0.482
Pm  0.441  0.769  0.982
Pm  0.559  0.231  0.018
Pm  0.559  0.269  0.518
Pm  0.949  0.745  0.470
Pm  0.949  0.755  0.970
Bi  0.023  0.007  0.266
Bi  0.023  0.493  0.766
Bi  0.498  0.505  0.239
Bi  0.498  0.995  0.739
Bi  0.502  0.005  0.261
Bi  0.502  0.495  0.761
Bi  0.977  0.507  0.234
Bi  0.977  0.993  0.734
N  0.064  0.742  0.720
N  0.064  0.758  0.220
N  0.196  0.571  0.003
N  0.196  0.929  0.503
N  0.289  0.093  0.291
N  0.289  0.407  0.791
N  0.441  0.247  0.656
N  0.441  0.253  0.156
N  0.559  0.747  0.844
N  0.559  0.753  0.344
N  0.711  0.593  0.209
N  0.711  0.907  0.709
N  0.804  0.071  0.497
N  0.804  0.429  0.997
N  0.936  0.242  0.780
N  0.936  0.258  0.280
O  0.198  0.556  0.503
O  0.198  0.944  0.003
O  0.321  0.035  0.823
O  0.321  0.465  0.323
O  0.679  0.535  0.677
O  0.679  0.965  0.177
O  0.802  0.056  0.997
O  0.802  0.444  0.497

Most intense lines, 15 to 90 degrees two-theta, low angle first:
29.28°, rel. 31, (2 0 0); 30.19°, rel. 69, (0 2 2); 30.41°, rel. 100, (2 2 -2); 42.30°, rel. 14, (0 0 4); 44.12°, rel. 15, (0 4 0); 53.66°, rel. 16, (2 2 -6); 54.13°, rel. 14, (4 2 -6); 54.49°, rel. 15, (2 4 -4)

---

No. 2
Structure and simulated powder diffraction line list of FeSi17Ge13P (a DFT-relaxed cell (PBE, OQMD); Cu Kα X-rays).
Kinematic intensities with the Lorentz-polarization factor, no thermal factor.

Crystal structure
a = 5.551 Å, b = 3.924 Å, c = 31.365 Å
α = 90.00°, β = 90.34°, γ = 90.00°
Fractional coordinates of all 32 atoms:
Fe  0.000  0.000  0.000
Si  0.005  0.000  0.125
Si  0.007  0.000  0.378
Si  0.008  0.000  0.628
Si  0.019  0.000  0.883
Si  0.229  0.000  0.060
Si  0.256  0.000  0.318
Si  0.266  0.000  0.568
Si  0.507  0.500  0.568
Si  0.519  0.500  0.188
Si  0.519  0.500  0.441
Si  0.521  0.500  0.690
Si  0.760  0.500  0.752
Si  0.761  0.500  0.127
Si  0.767  0.500  0.380
Si  0.767  0.500  0.628
Si  0.775  0.500  0.881
Si  0.795  0.500  0.008
Ge  0.010  0.000  0.753
Ge  0.019  0.000  0.253
Ge  0.019  0.000  0.505
Ge  0.263  0.000  0.819
Ge  0.267  0.000  0.188
Ge  0.268  0.000  0.440
Ge  0.269  0.000  0.689
Ge  0.493  0.500  0.065
Ge  0.506  0.500  0.318
Ge  0.521  0.500  0.945
Ge  0.528  0.500  0.817
Ge  0.755  0.500  0.253
Ge  0.755  0.500  0.505
P  0.250  0.000  0.946

Most intense lines, 15 to 90 degrees two-theta, low angle first:
27.82°, rel. 100, (1 1 0); 27.94°, rel. 33, (1 0 8); 46.18°, rel. 31, (2 1 -8); 46.30°, rel. 31, (0 2 0); 46.38°, rel. 30, (2 1 8); 54.87°, rel. 28, (1 2 -8); 55.00°, rel. 14, (1 1 16); 67.53°, rel. 14, (0 2 16)

---

No. 3
Structure and simulated powder diffraction line list of Li3Tb2DySn3 (a DFT-relaxed cell (PBE, OQMD); Cu Kα X-rays).
Kinematic intensities with the Lorentz-polarization factor, no thermal factor.

Crystal structure
a = 4.734 Å, b = 4.734 Å, c = 10.757 Å
α = 90.00°, β = 90.00°, γ = 120.00°
Fractional coordinates of all 9 atoms:
Li  0.000  0.000  0.000
Li  0.333  0.667  0.311
Li  0.333  0.667  0.689
Tb  0.667  0.333  0.165
Tb  0.667  0.333  0.835
Dy  0.667  0.333  0.500
Sn  0.000  0.000  0.329
Sn  0.000  0.000  0.671
Sn  0.333  0.667  0.000

Most intense lines, 15 to 90 degrees two-theta, low angle first:
21.68°, rel. 30, (1 0 0); 23.22°, rel. 21, (1 0 1); 27.35°, rel. 16, (1 0 2); 33.19°, rel. 100, (1 0 3); 38.02°, rel. 56, (1 1 0); 51.35°, rel. 30, (2 0 3); 65.29°, rel. 23, (1 1 6); 65.64°, rel. 28, (2 1 3)